Starting from the GGA-PBE geometry in Alexandria, the powder diffractogram of Ac4Ga5Hg3 was calculated for Cu Kα, 1.54184 Å.

Cell and atoms:
```
Ac4Ga5Hg3
1.0
7.831 -2.402 0.000
7.831 2.402 0.000
-5.648 0.000 9.396
Ac Ga Hg
4 5 3
Cartesian
-1.387 0.000 3.125 Ac
-0.158 0.000 7.214 Ac
10.172 0.000 2.183 Ac
11.402 0.000 6.272 Ac
1.656 0.000 4.434 Ga
4.105 0.000 3.813 Ga
7.831 0.000 0.000 Ga
5.909 0.000 5.583 Ga
8.358 0.000 4.962 Ga
0.000 0.000 0.000 Hg
4.630 0.000 0.992 Hg
5.384 0.000 8.404 Hg
```

The 12 most intense peaks (2θ = 15–90°), by intensity:
| two_theta | I/Imax |
| --- | --- |
| 27.22 | 100 |
| 31.80 | 99 |
| 37.43 | 82 |
| 25.20 | 58 |
| 36.13 | 43 |
| 33.45 | 34 |
| 51.07 | 25 |
| 53.97 | 25 |
| 47.04 | 23 |
| 26.56 | 21 |
| 66.47 | 20 |
| 53.03 | 17 |